[1]
# NiSnTe
Theoretical powder XRD pattern, Cu Kα (λ = 1.5418 Å). Input: a GGA-PBE-relaxed structure.
Lines closer than 0.1° are merged.

Top 8 peaks for 2θ = 15–90°, by angle:
2θ/deg, I/Imax
27.88, 100
31.06, 23
33.32, 58
34.95, 30
39.07, 19
43.33, 43
44.62, 69
56.85, 25

Structural model:
abc: 5.7578 6.4126 6.4126
angles: 143.11 90.00 90.00
Atoms (fractional coordinates):
Ni (0.0000, 0.0000, 0.0000)
Ni (0.5000, 0.0000, 0.0000)
Sn (0.2500, 0.5766, 0.4235)
Sn (0.7500, 0.4235, 0.5766)
Te (0.2500, 0.8312, 0.1655)
Te (0.7500, 0.1655, 0.8312)

---

[2]
# ErSi4Rh4
Theoretical powder XRD pattern, Cu Kα (λ = 1.5418 Å). Input: a GGA-PBE-relaxed structure.
Lines closer than 0.1° are merged.

Top 8 peaks for 2θ = 15–90°, by angle:
2θ/deg, I/Imax
26.91, 24
30.90, 20
32.15, 21
35.61, 100
37.01, 41
45.77, 19
58.05, 19
64.39, 26

Structural model:
abc: 5.9420 5.9420 7.9839
angles: 90.00 90.00 90.00
Atoms (fractional coordinates):
Er (0.2500, 0.7500, 0.2500)
Er (0.7500, 0.2500, 0.7500)
Si (0.0472, 0.2500, 0.0740)
Si (0.2500, 0.0472, 0.5740)
Si (0.2500, 0.4528, 0.5740)
Si (0.4528, 0.2500, 0.0740)
Si (0.5472, 0.7500, 0.9260)
Si (0.7500, 0.5472, 0.4260)
Si (0.7500, 0.9528, 0.4260)
Si (0.9528, 0.7500, 0.9260)
Rh (0.0146, 0.2500, 0.3746)
Rh (0.2500, 0.0146, 0.8746)
Rh (0.2500, 0.4854, 0.8746)
Rh (0.4854, 0.2500, 0.3746)
Rh (0.5146, 0.7500, 0.6254)
Rh (0.7500, 0.5146, 0.1254)
Rh (0.7500, 0.9854, 0.1254)
Rh (0.9854, 0.7500, 0.6254)

---

[3]
# TbPm2Dy2Sc
Theoretical powder XRD pattern, Cu Kα (λ = 1.5418 Å). Input: a GGA-PBE-relaxed structure.
Lines closer than 0.1° are merged.

Top 8 peaks for 2θ = 15–90°, by angle:
2θ/deg, I/Imax
25.91, 9
31.96, 100
41.62, 15
45.82, 16
57.00, 26
63.51, 16
76.05, 7
81.82, 7

Structural model:
abc: 6.8782 5.5954 9.6866
angles: 90.00 90.00 90.00
Atoms (fractional coordinates):
Tb (0.2500, 0.0000, 0.1517)
Tb (0.7500, 0.0000, 0.8483)
Pm (0.0000, 0.0000, 0.5000)
Pm (0.2500, 0.5000, 0.6866)
Pm (0.5000, 0.0000, 0.5000)
Pm (0.7500, 0.5000, 0.3134)
Dy (0.2500, 0.0000, 0.8309)
Dy (0.2500, 0.5000, 0.3371)
Dy (0.7500, 0.0000, 0.1691)
Dy (0.7500, 0.5000, 0.6629)
Sc (0.0000, 0.5000, 0.0000)
Sc (0.5000, 0.5000, 0.0000)

---

[4]
# La2Pr4Y7
Theoretical powder XRD pattern, Cu Kα (λ = 1.5418 Å). Input: a GGA-PBE-relaxed structure.
Lines closer than 0.1° are merged.

Top 8 peaks for 2θ = 15–90°, by angle:
2θ/deg, I/Imax
30.05, 100
34.84, 50
50.07, 24
50.15, 12
59.49, 14
59.57, 24
62.50, 9
81.54, 7

Structural model:
abc: 6.3083 8.1429 9.6302
angles: 114.87 90.00 97.55
Atoms (fractional coordinates):
La (0.2300, 0.3835, 0.4234)
La (0.7700, 0.6165, 0.5766)
Pr (0.3069, 0.8479, 0.7308)
Pr (0.3855, 0.3075, 0.0371)
Pr (0.6145, 0.6925, 0.9629)
Pr (0.6931, 0.1521, 0.2692)
Y (0.0000, 0.0000, 0.5000)
Y (0.0775, 0.4595, 0.8090)
Y (0.1527, 0.9204, 0.1159)
Y (0.4601, 0.7704, 0.3452)
Y (0.5399, 0.2296, 0.6548)
Y (0.8473, 0.0796, 0.8841)
Y (0.9225, 0.5405, 0.1910)

---

[5]
# HoTmCo2
Theoretical powder XRD pattern, Cu Kα (λ = 1.5418 Å). Input: a GGA-PBE-relaxed structure.
Lines closer than 0.1° are merged.

Top 8 peaks for 2θ = 15–90°, by angle:
2θ/deg, I/Imax
27.00, 26
38.55, 100
47.69, 8
55.66, 17
62.93, 11
69.75, 34
82.63, 11
88.90, 6

Structural model:
abc: 4.6707 4.6707 4.6707
angles: 60.00 60.00 60.00
Atoms (fractional coordinates):
Ho (0.0000, 0.0000, 0.0000)
Tm (0.5000, 0.5000, 0.5000)
Co (0.2500, 0.2500, 0.2500)
Co (0.7500, 0.7500, 0.7500)

---

[6]
# Na6Tl2Pt
Theoretical powder XRD pattern, Cu Kα (λ = 1.5418 Å). Input: a GGA-PBE-relaxed structure.
Lines closer than 0.1° are merged.

Top 8 peaks for 2θ = 15–90°, by angle:
2θ/deg, I/Imax
19.33, 100
19.97, 40
33.43, 60
34.80, 45
37.35, 23
38.91, 17
49.01, 39
52.22, 15

Structural model:
abc: 10.7785 10.7785 10.7785
angles: 28.80 28.80 28.80
Atoms (fractional coordinates):
Na (0.0850, 0.0850, 0.0850)
Na (0.1916, 0.1916, 0.1916)
Na (0.3077, 0.3077, 0.3077)
Na (0.6923, 0.6923, 0.6923)
Na (0.8084, 0.8084, 0.8084)
Na (0.9150, 0.9150, 0.9150)
Tl (0.4127, 0.4127, 0.4127)
Tl (0.5873, 0.5873, 0.5873)
Pt (0.5000, 0.5000, 0.5000)

---

[7]
# Tb2Pm7Y
Theoretical powder XRD pattern, Cu Kα (λ = 1.5418 Å). Input: a GGA-PBE-relaxed structure.
Lines closer than 0.1° are merged.

Top 8 peaks for 2θ = 15–90°, by angle:
2θ/deg, I/Imax
15.88, 57
29.47, 48
32.07, 49
32.78, 100
35.06, 52
44.12, 35
61.28, 26
61.97, 22

Structural model:
abc: 9.4651 9.4651 5.5811
angles: 90.00 90.00 124.80
Atoms (fractional coordinates):
Tb (0.2054, 0.7946, 0.0000)
Tb (0.7946, 0.2054, 0.0000)
Pm (0.0000, 0.0000, 0.0000)
Pm (0.2095, 0.4330, 0.0000)
Pm (0.2874, 0.7126, 0.5000)
Pm (0.4330, 0.2095, 0.0000)
Pm (0.5670, 0.7905, 0.0000)
Pm (0.7126, 0.2874, 0.5000)
Pm (0.7905, 0.5670, 0.0000)
Y (0.5000, 0.5000, 0.5000)

---

[8]
# Cu2H3Br6
Theoretical powder XRD pattern, Cu Kα (λ = 1.5418 Å). Input: a GGA-PBE-relaxed structure.
Lines closer than 0.1° are merged.

Top 8 peaks for 2θ = 15–90°, by angle:
2θ/deg, I/Imax
22.94, 41
23.86, 100
24.45, 46
26.09, 60
26.72, 61
27.72, 43
30.28, 63
45.79, 34

Structural model:
abc: 7.4794 7.4794 14.1270
angles: 102.59 102.59 62.43
Atoms (fractional coordinates):
Cu (0.0796, 0.6080, 0.5501)
Cu (0.3920, 0.9204, 0.9499)
Cu (0.6080, 0.0796, 0.0501)
Cu (0.9204, 0.3920, 0.4499)
H (0.1633, 0.8367, 0.7500)
H (0.2010, 0.4986, 0.2215)
H (0.4986, 0.2010, 0.7215)
H (0.5014, 0.7990, 0.2785)
H (0.7990, 0.5014, 0.7785)
H (0.8367, 0.1633, 0.2500)
Br (0.1445, 0.8144, 0.8654)
Br (0.1545, 0.4550, 0.3888)
Br (0.1856, 0.8555, 0.6346)
Br (0.2167, 0.4989, 0.1213)
Br (0.4550, 0.1545, 0.8888)
Br (0.4989, 0.2167, 0.6213)
Br (0.5011, 0.7833, 0.3787)
Br (0.5450, 0.8455, 0.1112)
Br (0.7833, 0.5011, 0.8787)
Br (0.8144, 0.1445, 0.3654)
Br (0.8455, 0.5450, 0.6112)
Br (0.8555, 0.1856, 0.1346)